Record 1
Diffraction record for Sm4Ge3S12. The powder XRD pattern is calculated, not measured: it uses a PBE-relaxed structure and Cu Kα (weighted mean of Kα1 and Kα2).
Lines closer than 0.1° are merged.

Structural model:
a = 19.3125 Å, b = 19.3125 Å, c = 7.9537 Å
α = 90.00°, β = 90.00°, γ = 120.00°
Space group R3c (No. 161, hexagonal axes)
Unique sites:
1 Sm 0.0000 0.0000 0.0000 (multiplicity 6)
2 Sm 0.0046 0.2325 0.2069 (multiplicity 18)
3 Ge 0.1462 0.4670 0.3230 (multiplicity 18)
4 S 0.0618 0.3919 0.5257 (multiplicity 18)
5 S 0.0880 0.2012 0.4972 (multiplicity 18)
6 S 0.1228 0.0597 0.2496 (multiplicity 18)
7 S 0.1527 0.3773 0.1595 (multiplicity 18)

Largest 10 diffraction maxima, in order of rising 2θ, 5 to 70 degrees two-theta:
2θ (°)	I (rel.)	hkl
17.92	28	2 1 1
24.39	100	4 1 0
25.78	20	3 2 1
26.48	43	1 2 2
32.42	39	2 3 2
35.07	49	5 0 2
36.31	20	4 2 2
37.01	23	1 6 1
37.25	28	4 4 0
48.29	22	5 2 3

---

Record 2
Diffraction record for TiGeS3. The powder XRD pattern is calculated, not measured: it uses a PBE-relaxed structure and Cu Kα (weighted mean of Kα1 and Kα2).
Lines closer than 0.1° are merged.

Structural model:
a = 9.1111 Å, b = 3.5052 Å, c = 13.4220 Å
α = 90.00°, β = 90.00°, γ = 90.00°
Space group Pnma (No. 62)
Unique sites:
1 Ti 0.1534 0.2500 0.0473 (multiplicity 4)
2 Ge 0.0709 0.2500 0.6607 (multiplicity 4)
3 S 0.0128 0.2500 0.8928 (multiplicity 4)
4 S 0.1783 0.2500 0.4917 (multiplicity 4)
5 S 0.2349 0.7500 0.7131 (multiplicity 4)

Largest 10 diffraction maxima, in order of rising 2θ, 5 to 70 degrees two-theta:
2θ (°)	I (rel.)	hkl
16.41	100	1 0 2
20.59	31	2 0 1
22.13	41	1 0 3
32.22	81	2 1 0
32.92	90	2 1 1
33.16	50	2 0 4
38.94	32	2 0 5
42.41	48	0 1 5
44.36	43	3 1 3
52.19	28	0 2 0

---

Record 3
Diffraction record for Tl4GeS4. The powder XRD pattern is calculated, not measured: it uses a PBE-relaxed structure and Cu Kα (weighted mean of Kα1 and Kα2).
Lines closer than 0.1° are merged.

Structural model:
a = 13.0869 Å, b = 11.6854 Å, c = 7.8342 Å
α = 90.00°, β = 113.41°, γ = 90.00°
Space group Cc (No. 9)
Unique sites:
1 Tl 0.0000 0.0026 0.0000 (multiplicity 4)
2 Tl 0.1745 0.3922 0.5616 (multiplicity 4)
3 Tl 0.3310 0.1388 0.4911 (multiplicity 4)
4 Tl 0.3909 0.2251 0.0252 (multiplicity 4)
5 Ge 0.1151 0.2885 0.0439 (multiplicity 4)
6 S 0.0104 0.4275 0.8564 (multiplicity 4)
7 S 0.0311 0.2199 0.2224 (multiplicity 4)
8 S 0.1447 0.1465 0.8771 (multiplicity 4)
9 S 0.2797 0.3619 0.2331 (multiplicity 4)

Largest 10 diffraction maxima, in order of rising 2θ, 5 to 70 degrees two-theta:
2θ (°)	I (rel.)	hkl
23.49	85	3 1 0
24.02	65	1 3 0
24.77	100	0 0 2
27.03	78	3 1 -2
28.42	63	1 3 1
31.34	33	4 2 -1
32.51	62	1 3 -2
33.56	33	4 2 0
34.13	41	2 4 0
49.22	34	2 6 -1

---

Record 4
Diffraction record for UGeS. The powder XRD pattern is calculated, not measured: it uses a PBE-relaxed structure and Cu Kα (weighted mean of Kα1 and Kα2).
Lines closer than 0.1° are merged.

Structural model:
a = 4.1492 Å, b = 4.1492 Å, c = 7.2392 Å
α = 90.00°, β = 90.00°, γ = 90.00°
Space group P4/nmm (No. 129, origin choice 2)
Unique sites:
1 U 0.2500 0.2500 0.2395 (multiplicity 2)
2 Ge 0.2500 0.2500 0.6331 (multiplicity 2)
3 S 0.2500 0.7500 0.0000 (multiplicity 2)

Largest 10 diffraction maxima, in order of rising 2θ, 5 to 70 degrees two-theta:
2θ (°)	I (rel.)	hkl
24.59	34	0 0 2
24.73	100	1 0 1
30.47	75	1 1 0
32.84	19	1 0 2
39.54	74	1 1 2
43.38	58	1 0 3
43.63	44	2 0 0
50.76	52	2 0 2
63.21	39	2 1 3
68.66	17	1 0 5

---

Record 5
Diffraction record for UGeS. The powder XRD pattern is calculated, not measured: it uses a PBE-relaxed structure and Cu Kα (weighted mean of Kα1 and Kα2).
Lines closer than 0.1° are merged.

Structural model:
a = 3.8155 Å, b = 3.8155 Å, c = 8.1667 Å
α = 90.00°, β = 90.00°, γ = 90.00°
Space group P4/nmm (No. 129, origin choice 2)
Unique sites:
1 U 0.2500 0.2500 0.1993 (multiplicity 2)
2 Ge 0.2500 0.7500 0.5000 (multiplicity 2)
3 S 0.2500 0.2500 0.8586 (multiplicity 2)

Largest 10 diffraction maxima, in order of rising 2θ, 5 to 70 degrees two-theta:
2θ (°)	I (rel.)	hkl
25.77	100	1 0 1
32.90	32	0 0 3
33.21	26	1 1 0
35.03	36	1 1 1
40.06	63	1 1 2
40.72	18	1 0 3
47.67	31	2 0 0
50.71	20	1 0 4
54.98	27	2 1 1
59.14	24	2 0 3

---

Record 6
Diffraction record for V4GeS8. The powder XRD pattern is calculated, not measured: it uses a PBE-relaxed structure and Cu Kα (weighted mean of Kα1 and Kα2).
Lines closer than 0.1° are merged.

Structural model:
a = 6.8121 Å, b = 6.9455 Å, c = 9.6344 Å
α = 90.00°, β = 90.00°, γ = 90.00°
Space group Imm2 (No. 44)
Unique sites:
1 V 0.0000 0.2089 0.0000 (multiplicity 4)
2 V 0.1944 0.0000 0.7915 (multiplicity 4)
3 Ge 0.0000 0.0000 0.3908 (multiplicity 2)
4 S 0.0000 0.2611 0.7655 (multiplicity 4)
5 S 0.0000 0.2751 0.2596 (multiplicity 4)
6 S 0.2285 0.5000 0.0308 (multiplicity 4)
7 S 0.2464 0.5000 0.5252 (multiplicity 4)

Largest 10 diffraction maxima, in order of rising 2θ, 5 to 70 degrees two-theta:
2θ (°)	I (rel.)	hkl
18.24	54	1 1 0
26.04	34	1 1 2
30.34	46	1 2 1
30.67	66	0 1 3
36.97	87	2 2 0
37.33	45	0 0 4
48.47	35	2 3 1
48.84	34	3 2 1
49.11	39	1 0 5
53.55	100	2 2 4